1.
This entry pairs a crystal structure of Li3Cu3P2O8 with its theoretical powder X-ray diffraction pattern. Radiation: Cu Kα X-rays. Structure: DFT lattice parameters and positions (PBE).
Neutral-atom scattering factors, no anomalous dispersion.

Peak list (12 most intense, 2θ from 10° to 90°, sorted by position)
Position (°2θ)  intensity
14.45  40.4
16.07  58.8
17.42  37.3
21.80  85.0
22.90  45.7
23.20  42.6
33.28  89.3
33.61  90.4
35.26  100.0
36.29  52.8
37.85  55.7
38.24  38.2

Crystal structure
```
16
Lattice="5.0973 0.0000 0.0000 0.2688 5.5159 0.0000 0.1071 0.0703 6.1307" Properties=species:S:1:pos:R:3 pbc="T T T"
Li 0.0000 0.0000 0.0000
Li 0.2700 2.8802 1.5243
Li 2.8679 3.8725 3.0600
Cu 0.4978 2.7829 4.5926
Cu 2.5595 1.3362 4.4782
Cu 2.5205 1.2365 1.5920
P 2.8337 3.7834 0.0101
P 5.1370 0.0788 3.0225
O 0.5162 0.8827 1.7668
O 0.5641 0.7593 4.3357
O 0.8630 4.1434 2.9658
O 1.2720 3.7863 0.0274
O 3.3978 5.2239 0.0001
O 3.3779 3.0368 1.2817
O 3.4508 3.0977 4.8520
O 3.5852 0.0613 3.0560
```

2.
This entry pairs a crystal structure of NdPt3Rh with its theoretical powder X-ray diffraction pattern. Radiation: Cu Kα X-rays. Structure: DFT lattice parameters and positions (PBE).
Neutral-atom scattering factors, no anomalous dispersion.

Peak list (12 most intense, 2θ from 10° to 90°, sorted by position)
Position (°2θ)  intensity
13.69  66.1
13.82  48.5
27.59  34.4
27.84  55.6
30.29  52.0
36.82  50.1
37.14  22.7
39.76  87.4
41.43  27.5
41.78  100.0
53.40  46.5
70.12  29.1

Crystal structure
```
10
Lattice="3.6887 -6.4665 0.0000 3.6887 6.4665 0.0000 0.0000 0.0000 4.8426" Properties=species:S:1:pos:R:3 pbc="T T T"
Nd 3.6887 4.9684 3.6320
Nd 3.6887 -4.9684 1.2107
Pt 2.4189 3.0492 1.2107
Pt 4.9586 3.0492 1.2107
Pt 3.6887 0.0000 0.0000
Pt 3.6887 0.0000 2.4213
Pt 2.4189 -3.0492 3.6320
Pt 4.9586 -3.0492 3.6320
Rh 3.6887 2.3165 3.6320
Rh 3.6887 -2.3165 1.2107
```

3.
This entry pairs a crystal structure of Tl2AgOsO4 with its theoretical powder X-ray diffraction pattern. Radiation: Cu Kα X-rays. Structure: DFT lattice parameters and positions (PBE).
Neutral-atom scattering factors, no anomalous dispersion.

Peak list (12 most intense, 2θ from 10° to 90°, sorted by position)
Position (°2θ)  intensity
20.56  12.5
21.55  67.8
29.94  35.4
30.28  100.0
34.58  43.8
36.89  14.1
41.09  26.0
43.11  10.8
51.66  28.5
53.35  15.4
56.18  10.5
65.70  13.5

Crystal structure
```
16
Lattice="0.0000 5.9702 8.6391 3.3977 0.0000 8.6391 3.3977 5.9702 0.0000" Properties=species:S:1:pos:R:3 pbc="T T T"
Tl 2.5483 4.4776 0.9282
Tl 4.2472 7.4627 5.2477
Tl 2.5483 4.4776 12.0304
Tl 4.2472 7.4627 16.3500
Ag 0.8494 1.4925 2.1598
Ag 5.9460 10.4478 15.1184
Os 2.5483 4.4776 6.4793
Os 4.2472 7.4627 10.7988
O 3.7751 3.2736 5.8857
O 3.7751 5.6817 7.0729
O 5.4740 6.2587 11.3924
O 1.3215 3.2736 7.0729
O 5.4740 8.6667 10.2052
O 1.3215 5.6817 5.8857
O 3.0203 6.2587 10.2052
O 3.0203 8.6667 11.3924
```

4.
This entry pairs a crystal structure of Ce6TeP3S2 with its theoretical powder X-ray diffraction pattern. Radiation: Cu Kα X-rays. Structure: DFT lattice parameters and positions (PBE).
Neutral-atom scattering factors, no anomalous dispersion.

Peak list (12 most intense, 2θ from 10° to 90°, sorted by position)
Position (°2θ)  intensity
26.26  22.5
26.41  23.1
30.50  100.0
43.46  11.7
43.69  47.6
43.84  12.4
51.81  12.5
54.37  12.6
63.44  7.5
72.01  10.0
72.13  9.8
80.45  11.6

Crystal structure
```
12
Lattice="9.0331 -2.0649 0.0000 9.0331 2.0649 0.0000 -1.9419 0.0000 8.1003" Properties=species:S:1:pos:R:3 pbc="T T T"
Ce -0.5119 0.0000 2.2095
Ce 4.0917 0.0000 7.4052
Ce 5.2328 0.0000 3.3611
Ce 10.8915 0.0000 4.7392
Ce 12.0327 0.0000 0.6951
Ce 16.6363 0.0000 5.8908
Te 9.0331 0.0000 0.0000
P 1.3436 0.0000 6.7340
P 8.0622 0.0000 4.0501
P 14.7808 0.0000 1.3663
S 2.3932 0.0000 2.7149
S 13.7312 0.0000 5.3854
```

5.
This entry pairs a crystal structure of Nb7B4C4 with its theoretical powder X-ray diffraction pattern. Radiation: Cu Kα X-rays. Structure: DFT lattice parameters and positions (PBE).
Neutral-atom scattering factors, no anomalous dispersion.

Peak list (12 most intense, 2θ from 10° to 90°, sorted by position)
Position (°2θ)  intensity
27.65  14.2
33.70  50.0
34.32  100.0
37.25  25.3
38.74  38.8
39.84  51.5
40.24  23.2
41.42  19.5
56.79  42.8
58.42  16.1
61.28  22.3
68.06  27.1

Crystal structure
```
15
Lattice="-1.5798 1.6212 16.2691 1.5798 -1.6212 16.2691 1.5798 1.6212 -16.2691" Properties=species:S:1:pos:R:3 pbc="T T T"
Nb 0.0000 0.0000 0.0000
Nb 1.5798 0.0000 2.6561
Nb 1.5798 0.0000 6.9759
Nb 1.5798 0.0000 11.4600
Nb 0.0000 1.6212 4.8091
Nb 0.0000 1.6212 9.2932
Nb 0.0000 1.6212 13.6130
B 1.5798 0.0000 14.4096
B 0.0000 0.0000 15.3435
B 0.0000 0.0000 17.1947
B 0.0000 1.6212 1.8595
C 1.5798 0.0000 4.7925
C 1.5798 0.0000 9.2633
C 0.0000 1.6212 7.0058
C 0.0000 1.6212 11.4766
```

6.
This entry pairs a crystal structure of Tb2Er4TmMg with its theoretical powder X-ray diffraction pattern. Radiation: Cu Kα X-rays. Structure: DFT lattice parameters and positions (PBE).
Neutral-atom scattering factors, no anomalous dispersion.

Peak list (12 most intense, 2θ from 10° to 90°, sorted by position)
Position (°2θ)  intensity
31.41  100.0
36.22  17.1
36.52  33.4
52.39  23.9
52.61  11.8
62.16  14.3
62.51  14.1
62.63  14.0
65.55  12.2
85.69  6.0
85.81  6.0
86.11  5.9

Crystal structure
```
8
Lattice="4.9264 0.0000 0.0000 0.0000 4.9139 0.0000 -0.0079 0.0000 9.9199" Properties=species:S:1:pos:R:3 pbc="T T T"
Tb 0.0000 0.0000 0.0000
Tb 2.4592 2.4570 4.9600
Er 4.9236 2.4570 2.4825
Er -0.0051 2.4570 7.4375
Er 2.4587 0.0000 2.4827
Er 2.4598 0.0000 7.4373
Tm 2.4632 2.4570 0.0000
Mg -0.0040 0.0000 4.9600
```